This entry pairs a crystal structure of CeInPd2 with its computed X-ray powder pattern. Radiation: λ = 1.5418 Å (Cu Kα). Structure: DFT lattice parameters and positions (GGA-PBE).
Lines closer than 0.1° are merged.

Cell and atoms:
a = 4.6715 Å, b = 4.6715 Å, c = 9.0463 Å
α = 90.00°, β = 90.00°, γ = 120.00°
Element x y z (fractional)
Ce 0.3333 0.6667 0.2500
Ce 0.6667 0.3333 0.7500
In 0.0000 0.0000 0.0000
In 0.0000 0.0000 0.5000
Pd 0.3333 0.6667 0.5847
Pd 0.3333 0.6667 0.9153
Pd 0.6667 0.3333 0.0847
Pd 0.6667 0.3333 0.4153

Main lines, in order of falling intensity (2θ = 10–90°):
38.54 deg, rel. 100, (1 1 0); 37.19 deg, rel. 94, (1 0 3); 29.63 deg, rel. 33, (1 0 2); 54.64 deg, rel. 31, (2 0 3); 68.84 deg, rel. 30, (2 1 3); 69.73 deg, rel. 17, (3 0 0); 66.14 deg, rel. 15, (1 0 6); 82.62 deg, rel. 11, (2 2 0); 74.98 deg, rel. 10, (1 1 6); 79.24 deg, rel. 9, (2 0 6)